1.
This entry pairs a crystal structure of MnP3 with its calculated XRD peak list. Radiation: Cu Kα, 1.54184 Å. Structure: a structure optimized by DFT (PBE).

The 8 most intense peaks (10° ≤ 2θ ≤ 90°), sorted by position:
2theta, Rel. int., (hkl)
15.0, 100, 0 0 1
35.0, 57, 1 1 -1
38.8, 44, 2 0 1
41.5, 27, 1 1 -2
50.5, 26, 3 1 -2
52.4, 33, 1 1 -3
53.5, 18, 4 0 -3
54.7, 22, 3 1 0

Cell and atoms:
Cell: 7.237 2.828 6.818 Å, 90.00 120.26 90.00°
Space group Cm (No. 8)
Inequivalent atoms, fractional coordinates:
Mn 0.000 0.000 0.000 x2
P 0.103 0.500 0.802 x2
P 0.290 0.000 0.405 x2
P 0.362 0.000 0.142 x2

***

2.
This entry pairs a crystal structure of Mn3P5 with its calculated XRD peak list. Radiation: Cu Kα, 1.54184 Å. Structure: a structure optimized by DFT (PBE).

The 8 most intense peaks (10° ≤ 2θ ≤ 90°), sorted by position:
2theta, Rel. int., (hkl)
27.0, 87, 2 1 1
27.3, 71, 0 0 2
34.5, 100, 2 0 2
40.5, 94, 3 2 1
40.7, 67, 2 2 2
46.0, 82, 4 1 1
47.6, 40, 4 2 0
51.1, 85, 4 0 2

Cell and atoms:
Cell: 8.541 8.541 6.543 Å, 90.00 90.00 90.00°
Space group I4cm (No. 108)
Inequivalent atoms, fractional coordinates:
Mn 0.000 0.000 0.000 x4
Mn 0.144 0.356 0.252 x8
P 0.000 0.500 0.001 x4
P 0.078 0.188 0.750 x16

***

3.
This entry pairs a crystal structure of MnP2Pd with its calculated XRD peak list. Radiation: Cu Kα, 1.54184 Å. Structure: a structure optimized by DFT (PBE).

The 8 most intense peaks (10° ≤ 2θ ≤ 90°), sorted by position:
2theta, Rel. int., (hkl)
19.1, 9, 1 0 1
29.7, 100, 1 1 2
34.4, 12, 2 0 0
49.4, 18, 2 2 0
49.6, 37, 2 0 4
58.7, 26, 3 1 2
59.1, 13, 1 1 6
80.6, 10, 3 1 6

Cell and atoms:
Cell: 5.216 5.216 10.349 Å, 90.00 90.00 90.00°
Space group I-42d (No. 122)
Inequivalent atoms, fractional coordinates:
Mn 0.000 0.000 0.000 x4
P 0.218 0.250 0.125 x8
Pd 0.000 0.000 0.500 x4

***

Q: Which formula does entry 1 have?
A: MnP3